[1]
MgSbOF3: simulated X-ray powder pattern (Cu Kα X-rays), based on a crystal structure in the Materials Project, relaxed with GGA-PBE.

abc: 11.170 3.860 4.615
angles: 90.00 104.57 90.00
Space group Cm (No. 8)
Unique sites:
Mg: 0.000 0.000 0.000 x2
Sb: 0.261 0.000 0.652 x2
O: 0.315 0.500 0.820 x2
F: 0.050 0.000 0.442 x2
F: 0.178 0.000 0.999 x2
F: 0.480 0.000 0.918 x2

Largest 10 diffraction maxima, most intense first, 10 to 90 degrees two-theta:
3.635 Å, 2θ = 24.49°, intensity 1000, hkl 1 1 0; 3.968 Å, 2θ = 22.40°, intensity 761, hkl 2 0 -1; 4.467 Å, 2θ = 19.88°, intensity 636, hkl 0 0 1; 2.706 Å, 2θ = 33.11°, intensity 590, hkl 4 0 0; 5.405 Å, 2θ = 16.40°, intensity 461, hkl 2 0 0; 2.944 Å, 2θ = 30.36°, intensity 378, hkl 1 1 -1; 1.885 Å, 2θ = 48.29°, intensity 289, hkl 5 1 0; 2.106 Å, 2θ = 42.95°, intensity 260, hkl 3 1 1; 3.083 Å, 2θ = 28.96°, intensity 251, hkl 2 0 1; 2.276 Å, 2θ = 39.59°, intensity 243, hkl 2 0 -2

[2]
MgSbOF3: simulated X-ray powder pattern (Cu Kα X-rays), based on a crystal structure in the Materials Project, relaxed with GGA-PBE.

abc: 10.822 4.068 4.637
angles: 90.00 98.64 90.00
Space group Cm (No. 8)
Unique sites:
Mg: 0.000 0.000 0.000 x2
Sb: 0.147 0.500 0.590 x2
O: 0.073 0.500 0.949 x2
F: 0.081 0.000 0.584 x2
F: 0.327 0.500 0.915 x2
F: 0.462 0.000 0.383 x2

Largest 10 diffraction maxima, most intense first, 10 to 90 degrees two-theta:
5.350 Å, 2θ = 16.57°, intensity 1000, hkl 2 0 0; 3.803 Å, 2θ = 23.39°, intensity 841, hkl 1 1 0; 3.007 Å, 2θ = 29.71°, intensity 657, hkl 1 1 -1; 3.772 Å, 2θ = 23.58°, intensity 562, hkl 2 0 -1; 4.584 Å, 2θ = 19.36°, intensity 520, hkl 0 0 1; 2.680 Å, 2θ = 33.44°, intensity 341, hkl 3 1 0; 3.248 Å, 2θ = 27.46°, intensity 335, hkl 2 0 1; 2.034 Å, 2θ = 44.54°, intensity 242, hkl 0 2 0; 2.232 Å, 2θ = 40.42°, intensity 223, hkl 2 0 -2; 2.173 Å, 2θ = 41.57°, intensity 208, hkl 4 0 1

[3]
MgSbOF3: simulated X-ray powder pattern (Cu Kα X-rays), based on a crystal structure in the Materials Project, relaxed with GGA-PBE.

abc: 4.410 4.754 8.210
angles: 90.00 90.00 90.00
Space group Immm (No. 71)
Unique sites:
Mg: 0.000 0.000 0.000 x2
Sb: 0.000 0.000 0.500 x2
O: 0.000 0.500 0.000 x2
F: 0.000 0.000 0.232 x4
F: 0.000 0.500 0.500 x2

Largest 10 diffraction maxima, most intense first, 10 to 90 degrees two-theta:
4.109 Å, 2θ = 21.63°, intensity 1000, hkl 0 0 2; 3.233 Å, 2θ = 27.59°, intensity 676, hkl 1 1 0; 2.375 Å, 2θ = 37.88°, intensity 457, hkl 0 2 0; 3.885 Å, 2θ = 22.89°, intensity 413, hkl 1 0 1; 1.943 Å, 2θ = 46.75°, intensity 254, hkl 2 0 2; 1.616 Å, 2θ = 56.98°, intensity 253, hkl 2 2 0; 1.503 Å, 2θ = 61.70°, intensity 251, hkl 2 0 4; 2.205 Å, 2θ = 40.92°, intensity 250, hkl 2 0 0; 1.733 Å, 2θ = 52.83°, intensity 207, hkl 1 1 4; 2.052 Å, 2θ = 44.12°, intensity 191, hkl 0 0 4

[4]
MgSb3O7F: simulated X-ray powder pattern (Cu Kα X-rays), based on a crystal structure in the Materials Project, relaxed with GGA-PBE.

abc: 6.601 4.008 6.850
angles: 90.00 113.56 90.00
Space group Pm (No. 6)
Unique sites:
Mg: 0.000 0.000 0.000 x1
Sb: 0.269 0.500 0.389 x1
Sb: 0.598 0.500 0.927 x1
Sb: 0.926 0.500 0.627 x1
O: 0.236 0.000 0.304 x1
O: 0.273 0.500 0.693 x1
O: 0.606 0.500 0.596 x1
O: 0.668 0.000 0.962 x1
O: 0.924 0.500 0.341 x1
O: 0.956 0.000 0.684 x1
O: 0.980 0.500 0.941 x1
F: 0.444 0.500 0.133 x1

Largest 10 diffraction maxima, most intense first, 10 to 90 degrees two-theta:
4.008 Å, 2θ = 22.18°, intensity 1000, hkl 0 1 0; 3.683 Å, 2θ = 24.16°, intensity 685, hkl 1 0 1; 3.287 Å, 2θ = 27.13°, intensity 531, hkl 2 0 -1; 2.712 Å, 2θ = 33.03°, intensity 443, hkl 1 1 1; 3.397 Å, 2θ = 26.24°, intensity 341, hkl 1 0 -2; 2.542 Å, 2θ = 35.31°, intensity 281, hkl 2 1 -1; 2.004 Å, 2θ = 45.25°, intensity 279, hkl 0 2 0; 2.017 Å, 2θ = 44.95°, intensity 207, hkl 3 0 0; 2.591 Å, 2θ = 34.62°, intensity 206, hkl 1 1 -2; 1.802 Å, 2θ = 50.67°, intensity 197, hkl 3 1 0

[5]
MgSb3O7F: simulated X-ray powder pattern (Cu Kα X-rays), based on a crystal structure in the Materials Project, relaxed with GGA-PBE.

abc: 3.954 11.230 7.215
angles: 90.00 90.00 90.00
Space group Amm2 (No. 38)
Unique sites:
Mg: 0.000 0.000 0.000 x2
Sb: 0.500 0.000 0.364 x2
Sb: 0.500 0.212 0.814 x4
O: 0.000 0.000 0.301 x2
O: 0.000 0.168 0.859 x4
O: 0.500 0.134 0.170 x4
O: 0.500 0.143 0.531 x4
F: 0.500 0.000 0.878 x2

Largest 10 diffraction maxima, most intense first, 10 to 90 degrees two-theta:
3.954 Å, 2θ = 22.49°, intensity 1000, hkl 1 0 0; 3.321 Å, 2θ = 26.85°, intensity 829, hkl 0 3 1; 3.607 Å, 2θ = 24.68°, intensity 720, hkl 0 0 2; 2.665 Å, 2θ = 33.63°, intensity 422, hkl 1 0 2; 1.933 Å, 2θ = 47.01°, intensity 379, hkl 1 4 2; 2.544 Å, 2θ = 35.28°, intensity 347, hkl 1 3 1; 2.023 Å, 2θ = 44.80°, intensity 307, hkl 0 3 3; 1.977 Å, 2θ = 45.90°, intensity 276, hkl 2 0 0; 2.216 Å, 2θ = 40.72°, intensity 253, hkl 0 4 2; 1.802 Å, 2θ = 50.66°, intensity 233, hkl 0 0 4

[6]
Mg3SiO5F: simulated X-ray powder pattern (Cu Kα X-rays), based on a crystal structure in the Materials Project, relaxed with GGA-PBE.

abc: 10.450 4.771 8.913
angles: 90.00 90.00 90.00
Space group Pna2_1 (No. 33)
Unique sites:
Mg: 0.095 0.002 0.000 x4
Mg: 0.132 0.524 0.322 x4
Mg: 0.134 0.522 0.684 x4
Si: 0.215 0.086 0.501 x4
O: 0.039 0.277 0.167 x4
O: 0.071 0.231 0.500 x4
O: 0.211 0.737 0.857 x4
O: 0.213 0.734 0.147 x4
O: 0.216 0.745 0.499 x4
F: 0.036 0.262 0.833 x4

Largest 10 diffraction maxima, most intense first, 10 to 90 degrees two-theta:
3.109 Å, 2θ = 28.71°, intensity 1000, hkl 1 1 2; 1.752 Å, 2θ = 52.20°, intensity 748, hkl 2 2 3; 2.683 Å, 2θ = 33.40°, intensity 706, hkl 3 1 1; 2.271 Å, 2θ = 39.68°, intensity 671, hkl 2 1 3; 1.503 Å, 2θ = 61.74°, intensity 472, hkl 6 0 3; 2.292 Å, 2θ = 39.32°, intensity 400, hkl 4 1 0; 1.761 Å, 2θ = 51.91°, intensity 350, hkl 4 2 0; 2.379 Å, 2θ = 37.82°, intensity 349, hkl 3 1 2; 2.452 Å, 2θ = 36.66°, intensity 328, hkl 1 1 3; 1.485 Å, 2θ = 62.53°, intensity 267, hkl 0 0 6

[7]
Mg5Si2O8F2: simulated X-ray powder pattern (Cu Kα X-rays), based on a crystal structure in the Materials Project, relaxed with GGA-PBE.

abc: 7.902 4.777 10.374
angles: 90.00 109.13 90.00
Space group P2_1/c (No. 14)
Unique sites:
Mg: 0.000 0.000 0.000 x2
Mg: 0.198 0.007 0.328 x4
Mg: 0.421 0.009 0.114 x4
Si: 0.203 0.577 0.142 x4
O: 0.026 0.724 0.167 x4
O: 0.207 0.235 0.145 x4
O: 0.207 0.724 0.998 x4
O: 0.375 0.729 0.259 x4
F: 0.396 0.227 0.941 x4

Largest 10 diffraction maxima, most intense first, 10 to 90 degrees two-theta:
1.756 Å, 2θ = 52.09°, intensity 1000, hkl 2 2 2; 2.277 Å, 2θ = 39.58°, intensity 982, hkl 1 1 -4; 2.636 Å, 2θ = 34.01°, intensity 481, hkl 2 1 1; 1.496 Å, 2θ = 62.02°, intensity 459, hkl 4 0 -6; 2.536 Å, 2θ = 35.40°, intensity 389, hkl 2 1 -3; 2.697 Å, 2θ = 33.22°, intensity 369, hkl 0 1 3; 3.042 Å, 2θ = 29.36°, intensity 363, hkl 2 1 -1; 1.356 Å, 2θ = 69.28°, intensity 311, hkl 2 3 2; 4.899 Å, 2θ = 18.11°, intensity 305, hkl 1 0 -2; 3.591 Å, 2θ = 24.79°, intensity 285, hkl 1 0 2